Entry 1:
Starting from a structure optimized by DFT (PBE+U), the X-ray powder pattern of Li6MnFe2O6 was calculated for Cu Kα X-rays.
Lines closer than 0.1° are merged.

Peak list (10 most intense, 10° ≤ 2θ ≤ 90°, sorted by position)
16.85°, I = 100, hkl 0 1 1
35.73°, I = 38, hkl 1 0 3
36.34°, I = 35, hkl -1 1 4
36.57°, I = 14, hkl 1 1 -2
37.94°, I = 29, hkl 0 2 -4
46.58°, I = 16, hkl 1 1 4
47.32°, I = 16, hkl -1 2 5
49.13°, I = 16, hkl 0 3 -3
56.08°, I = 12, hkl -2 1 1
58.77°, I = 13, hkl 1 1 -8

Atomic structure:
Cell lengths 3.281, 6.055, 14.735 Å; angles 92.99, 95.52, 105.40 degrees
Space group P1 (No. 1)
Symmetry-distinct sites (fractional):
1 Li 0.000 0.000 0.000
2 Li 0.006 0.660 0.332
3 Li 0.021 0.328 0.668
4 Li 0.120 0.110 0.158
5 Li 0.144 0.443 0.823
6 Li 0.163 0.770 0.489
7 Li 0.489 0.830 0.169
8 Li 0.510 0.164 0.833
9 Li 0.533 0.494 0.500
10 Li 0.633 0.275 0.991
11 Li 0.643 0.946 0.324
12 Li 0.654 0.606 0.658
13 Mn 0.317 0.638 0.996
14 Mn 0.844 0.132 0.495
15 Fe 0.329 0.306 0.329
16 Fe 0.334 0.963 0.661
17 Fe 0.808 0.468 0.163
18 Fe 0.829 0.807 0.829
19 O 0.186 0.321 0.063
20 O 0.205 0.994 0.395
21 O 0.210 0.658 0.728
22 O 0.445 0.953 0.928
23 O 0.446 0.612 0.262
24 O 0.464 0.275 0.596
25 O 0.673 0.163 0.231
26 O 0.701 0.496 0.895
27 O 0.715 0.814 0.562
28 O 0.934 0.780 0.097
29 O 0.953 0.112 0.762
30 O 0.981 0.446 0.426



Entry 2:
Starting from a structure optimized by DFT (PBE+U), the X-ray powder pattern of Fe3BO5 was calculated for Cu Kα X-rays.
Lines closer than 0.1° are merged.

Peak list (10 most intense, 10° ≤ 2θ ≤ 90°, sorted by position)
16.91°, I = 56, hkl 1 2 0
34.20°, I = 100, hkl 2 4 0
34.39°, I = 83, hkl 2 0 1
37.34°, I = 62, hkl 4 0 0
41.06°, I = 39, hkl 0 4 1
43.05°, I = 33, hkl 3 2 1
46.15°, I = 35, hkl 3 3 1
56.62°, I = 34, hkl 4 4 1
59.63°, I = 23, hkl 0 0 2
60.62°, I = 32, hkl 1 7 1

Atomic structure:
Cell lengths 9.639, 12.496, 3.101 Å; angles 90.00, 90.00, 90.00 degrees
Space group Pbam (No. 55)
Symmetry-distinct sites (fractional):
1 Fe 0.000 0.000 0.000
2 Fe 0.000 0.500 0.500
3 Fe 0.002 0.225 0.500
4 Fe 0.244 0.614 0.000
5 B 0.234 0.362 0.000
6 O 0.112 0.641 0.500
7 O 0.119 0.083 0.500
8 O 0.122 0.861 0.000
9 O 0.160 0.458 0.000
10 O 0.162 0.266 0.000